The following is a simulated PXRD pattern of NaLa2Co2O6. It was derived from a crystal structure in Alexandria, relaxed with PBE+U, using Cu Kα X-rays.
Peak positions follow from Bragg's law for the DFT cell and can differ from measured ones.

Atomic structure:
Lattice parameters (Å, degrees): 6.7946 6.7946 6.7946 51.31 51.31 51.31
Atoms (fractional coordinates):
Na 0.0000 0.0000 0.0000
La 0.1940 0.1940 0.1940
La 0.8060 0.8060 0.8060
Co 0.4213 0.4213 0.4213
Co 0.5787 0.5787 0.5787
O 0.2161 0.7430 0.7430
O 0.2570 0.2570 0.7839
O 0.2570 0.7839 0.2570
O 0.7430 0.2161 0.7430
O 0.7430 0.7430 0.2161
O 0.7839 0.2570 0.2570

Peak list (8 most intense, 10° ≤ 2θ ≤ 90°, by angle)
two_theta  I_rel
15.06  78
30.38  100
30.81  86
34.07  44
43.82  45
44.76  25
54.26  37
64.19  23